# CaTb2VO6
Theoretical powder X-ray diffraction pattern, Cu Kα (λ = 1.5418 Å). Input: a crystal structure in Alexandria, relaxed with GGA+U.
Lines closer than 0.1° are merged.

Crystal structure
```
CaTb2VO6
1.0
5.6087 0.0000 0.0000
-2.7934 4.9152 0.0000
-2.7314 -1.6795 4.8964
Ca Tb V O
1 2 1 6
Cartesian
0.0000 0.0000 0.0000 Ca
0.0626 -0.0480 4.0478 Tb
0.0400 3.2918 1.6648 Tb
2.8525 1.6106 2.2636 V
-1.2586 1.5961 0.9714 O
-2.0491 -0.0081 3.2426 O
-1.6711 3.0047 3.2565 O
2.0446 0.3001 0.9093 O
2.1201 2.9983 0.9387 O
1.2349 1.7972 3.2180 O
```

Top 10 peaks for 2θ from 5° to 70°, in order of rising 2θ:
21.67 deg, d = 4.101 Å, I = 50, (0 1 -1)
21.78 deg, d = 4.080 Å, I = 49, (1 0 0)
22.09 deg, d = 4.024 Å, I = 48, (-1 1 1)
30.23 deg, d = 2.957 Å, I = 57, (1 -1 1)
30.51 deg, d = 2.930 Å, I = 56, (0 1 1)
30.61 deg, d = 2.920 Å, I = 55, (1 0 -2)
31.63 deg, d = 2.829 Å, I = 100, (1 -2 0)
31.92 deg, d = 2.804 Å, I = 48, (-2 1 1)
38.76 deg, d = 2.323 Å, I = 27, (2 -2 0)
44.17 deg, d = 2.050 Å, I = 24, (0 2 -2)